No. 1
Structure and simulated powder X-ray diffraction pattern of Er2Tm3Lu2Cu2Te2 (a GGA-PBE-relaxed structure; Cu Kα, 1.54184 Å).
No peak broadening, texture or thermal motion is included.

Cell and atoms:
Unit cell a=9.178 b=9.178 c=9.178 alpha=155.26 beta=68.03 gamma=117.77
Sites, in units of the cell vectors:
1 Er 0.144 0.000 0.144
2 Er 0.856 0.000 0.856
3 Tm 0.217 0.848 0.368
4 Tm 0.480 0.848 0.632
5 Tm 0.763 0.263 0.500
6 Lu 0.458 0.643 0.815
7 Lu 0.828 0.643 0.185
8 Cu 0.070 0.334 0.736
9 Cu 0.598 0.334 0.264
10 Te 0.103 0.603 0.500
11 Te 0.499 0.499 0.000

Peak list (6 most intense, 10° ≤ 2θ ≤ 90°, in order of rising 2θ)
2θ = 30.10°, I 65.5
2θ = 33.39°, I 73.5
2θ = 34.13°, I 100.0
2θ = 34.50°, I 56.1
2θ = 46.17°, I 31.4
2θ = 51.77°, I 32.2


No. 2
Structure and simulated powder X-ray diffraction pattern of Ho3As2Se (a GGA-PBE-relaxed structure; Cu Kα, 1.54184 Å).
No peak broadening, texture or thermal motion is included.

Cell and atoms:
Unit cell a=7.065 b=7.065 c=7.065 alpha=146.40 beta=131.86 gamma=59.99
Sites, in units of the cell vectors:
1 Ho 0.000 0.000 0.000
2 Ho 0.327 0.327 0.000
3 Ho 0.673 0.673 0.000
4 As 0.165 0.665 0.500
5 As 0.835 0.335 0.500
6 Se 0.500 0.000 0.500

Peak list (6 most intense, 10° ≤ 2θ ≤ 90°, in order of rising 2θ)
2θ = 26.76°, I 23.3
2θ = 31.00°, I 100.0
2θ = 44.41°, I 74.0
2θ = 55.15°, I 25.9
2θ = 73.36°, I 21.8
2θ = 81.77°, I 20.6


No. 3
Structure and simulated powder X-ray diffraction pattern of SmTmBe2Si2 (a GGA-PBE-relaxed structure; Cu Kα, 1.54184 Å).
No peak broadening, texture or thermal motion is included.

Cell and atoms:
Unit cell a=3.884 b=3.884 c=8.109 alpha=90.00 beta=90.00 gamma=120.00
Sites, in units of the cell vectors:
1 Sm 0.000 0.000 0.000
2 Tm 0.000 0.000 0.500
3 Be 0.333 0.667 0.742
4 Be 0.667 0.333 0.258
5 Si 0.333 0.667 0.259
6 Si 0.667 0.333 0.741

Peak list (6 most intense, 10° ≤ 2θ ≤ 90°, in order of rising 2θ)
2θ = 21.92°, I 25.2
2θ = 26.50°, I 63.8
2θ = 34.65°, I 100.0
2θ = 46.78°, I 25.8
2θ = 52.72°, I 20.0
2θ = 59.51°, I 21.0